# 1
Diffraction record for RbZnAg3. The powder diffraction line list is computed, not measured: it uses a DFT-relaxed cell (GGA-PBE, Alexandria) and copper Kα.

Structure:
abc: 17.280 8.183 7.728
angles: 90.00 108.12 90.00
Space group C2/c (No. 15)
Asymmetric unit:
Rb  0.000  0.067  0.250
Rb  0.000  0.426  0.750
Zn  0.182  0.274  0.357
Ag  0.164  0.182  0.675
Ag  0.189  0.139  0.054
Ag  0.193  0.491  0.104

Top 10 peaks for 15 to 90 degrees two-theta, by angle:
two_theta, d/Å, Rel. int., index
27.08, 3.293, 53, 4 0 -2
29.57, 3.021, 64, 2 0 2
30.57, 2.924, 54, 4 2 -1
32.72, 2.737, 100, 6 0 0
34.96, 2.566, 56, 4 2 -2
36.81, 2.442, 67, 3 3 0
40.03, 2.253, 48, 5 1 -3
40.43, 2.231, 41, 1 1 3
40.54, 2.225, 52, 1 3 -2
41.43, 2.179, 43, 2 2 -3


# 2
Diffraction record for NaCd2Sb2. The powder diffraction line list is computed, not measured: it uses a DFT-relaxed cell (GGA-PBE, Alexandria) and copper Kα.

Structure:
abc: 8.756 8.756 8.275
angles: 90.00 90.00 90.00
Space group I4cm (No. 108)
Asymmetric unit:
Na  0.000  0.000  0.000
Cd  0.140  0.360  0.239
Sb  0.157  0.343  0.580

Top 10 peaks for 15 to 90 degrees two-theta, by angle:
two_theta, d/Å, Rel. int., index
20.28, 4.378, 14, 2 0 0
21.48, 4.138, 30, 0 0 2
25.16, 3.540, 80, 2 1 1
25.90, 3.440, 14, 1 1 2
32.33, 2.769, 57, 3 1 0
39.15, 2.301, 14, 3 1 2
39.98, 2.255, 100, 2 1 3
41.24, 2.189, 23, 4 0 0
43.87, 2.064, 22, 3 3 0
66.78, 1.401, 30, 5 2 3


# 3
Diffraction record for LiAl8Ni4. The powder diffraction line list is computed, not measured: it uses a DFT-relaxed cell (GGA-PBE, Alexandria) and copper Kα.

Structure:
abc: 8.452 8.452 5.139
angles: 90.00 90.00 90.00
Space group I4/mmm (No. 139)
Asymmetric unit:
Li  0.000  0.000  0.000
Al  0.000  0.226  0.500
Al  0.000  0.333  0.000
Ni  0.250  0.250  0.250

Top 10 peaks for 15 to 90 degrees two-theta, by angle:
two_theta, d/Å, Rel. int., index
21.02, 4.226, 100, 2 0 0
41.11, 2.196, 58, 2 0 2
42.38, 2.133, 14, 3 2 1
42.80, 2.113, 45, 4 0 0
46.62, 1.948, 77, 2 2 2
48.15, 1.890, 41, 4 2 0
60.84, 1.522, 16, 4 2 2
77.23, 1.235, 15, 6 0 2
81.12, 1.186, 16, 6 2 2
89.21, 1.098, 10, 4 0 4


# 4
Diffraction record for La3NdDy8. The powder diffraction line list is computed, not measured: it uses a DFT-relaxed cell (GGA-PBE, Alexandria) and copper Kα.

Structure:
abc: 6.460 11.521 11.577
angles: 90.00 90.00 90.00
Space group Immm (No. 71)
Asymmetric unit:
La  0.000  0.000  0.000
La  0.000  0.248  0.500
Nd  0.000  0.500  0.000
Dy  0.000  0.250  0.173
Dy  0.249  0.000  0.252

Top 10 peaks for 15 to 90 degrees two-theta, by angle:
two_theta, d/Å, Rel. int., index
26.91, 3.313, 13, 1 0 3
31.11, 2.875, 100, 0 4 0
31.75, 2.818, 48, 2 2 0
34.69, 2.586, 13, 0 2 4
35.43, 2.533, 32, 2 2 2
44.97, 2.016, 14, 2 4 2
51.09, 1.788, 16, 3 2 3
55.30, 1.661, 12, 1 6 3
55.47, 1.657, 14, 2 0 6
64.94, 1.436, 18, 2 4 6


# 5
Diffraction record for LaSm4Tl2. The powder diffraction line list is computed, not measured: it uses a DFT-relaxed cell (GGA-PBE, Alexandria) and copper Kα.

Structure:
abc: 6.927 11.139 6.583
angles: 90.00 113.98 90.00
Space group C2/m (No. 12)
Asymmetric unit:
La  0.000  0.000  0.000
Sm  0.000  0.222  0.500
Sm  0.000  0.330  0.000
Tl  0.189  0.500  0.440

Top 10 peaks for 15 to 90 degrees two-theta, by angle:
two_theta, d/Å, Rel. int., index
25.95, 3.434, 34, 2 0 -1
28.76, 3.104, 71, 1 3 -1
29.70, 3.008, 100, 0 0 2
30.58, 2.923, 69, 2 2 -1
32.14, 2.785, 32, 0 4 0
32.54, 2.751, 53, 2 2 0
34.32, 2.613, 95, 1 3 1
35.57, 2.524, 99, 2 2 -2
56.33, 1.633, 29, 2 6 -1
59.20, 1.561, 34, 1 3 3


# 6
Diffraction record for CsLaH2. The powder diffraction line list is computed, not measured: it uses a DFT-relaxed cell (GGA-PBE, Alexandria) and copper Kα.

Structure:
abc: 6.584 3.806 7.311
angles: 90.00 90.05 90.00
Space group C2 (No. 5)
Asymmetric unit:
Cs  0.000  0.000  0.000
La  0.000  0.003  0.500
H  0.167  0.503  0.666

Top 10 peaks for 15 to 90 degrees two-theta, by angle:
two_theta, d/Å, Rel. int., index
24.35, 3.655, 43, 0 0 2
27.07, 3.294, 100, 2 0 0
36.73, 2.447, 90, 1 1 2
47.83, 1.902, 21, 3 1 0
54.38, 1.687, 29, 3 1 2
55.82, 1.647, 13, 4 0 0
57.68, 1.598, 24, 2 0 4
61.78, 1.502, 20, 4 0 2
71.61, 1.318, 13, 3 1 4
81.70, 1.179, 15, 4 2 2


# 7
Diffraction record for UAl10Os2. The powder diffraction line list is computed, not measured: it uses a DFT-relaxed cell (GGA-PBE, Alexandria) and copper Kα.

Structure:
abc: 9.037 10.289 9.127
angles: 90.00 90.00 90.00
Space group Cmcm (No. 63)
Asymmetric unit:
U  0.000  0.124  0.250
Al  0.000  0.156  0.602
Al  0.000  0.377  0.050
Al  0.151  0.369  0.750
Al  0.220  0.000  0.000
Al  0.224  0.367  0.250
Os  0.250  0.250  0.000

Top 10 peaks for 15 to 90 degrees two-theta, by angle:
two_theta, d/Å, Rel. int., index
16.27, 5.448, 37, 1 1 1
17.24, 5.145, 63, 0 2 0
26.10, 3.414, 41, 0 2 2
26.25, 3.395, 39, 2 2 0
27.79, 3.211, 100, 2 0 2
32.88, 2.724, 42, 2 2 2
39.80, 2.265, 43, 2 2 3
39.90, 2.259, 37, 4 0 0
40.25, 2.241, 65, 0 4 2
40.35, 2.235, 60, 2 4 0


# 8
Diffraction record for Cs2NaAuI6. The powder diffraction line list is computed, not measured: it uses a DFT-relaxed cell (GGA-PBE, Alexandria) and copper Kα.

Structure:
abc: 8.421 8.421 13.231
angles: 90.00 90.00 90.00
Space group I4/mmm (No. 139)
Asymmetric unit:
Cs  0.000  0.500  0.250
Na  0.000  0.000  0.000
Au  0.000  0.000  0.500
I  0.000  0.000  0.222
I  0.225  0.225  0.500

Top 10 peaks for 15 to 90 degrees two-theta, by angle:
two_theta, d/Å, Rel. int., index
20.06, 4.426, 19, 1 1 2
22.76, 3.907, 31, 1 0 3
25.07, 3.552, 100, 2 0 2
26.96, 3.308, 51, 0 0 4
30.01, 2.977, 78, 2 2 0
40.78, 2.213, 61, 2 2 4
42.96, 2.105, 27, 4 0 0
43.84, 2.065, 26, 3 2 3
50.38, 1.811, 22, 4 2 2
51.45, 1.776, 28, 4 0 4


# 9
Diffraction record for AcCeC. The powder diffraction line list is computed, not measured: it uses a DFT-relaxed cell (GGA-PBE, Alexandria) and copper Kα.

Structure:
abc: 3.7443 3.7443 6.7929
angles: 90.00 90.00 120.00
Space group P3m1 (No. 156)
Asymmetric unit:
Ac  0.0000  0.0000  0.0000
Ce  0.3333  0.6667  0.4327
C  0.6667  0.3333  0.2618

Top 10 peaks for 15 to 90 degrees two-theta, by angle:
two_theta, d/Å, Rel. int., index
26.24, 3.396, 26, 0 0 2
27.51, 3.243, 23, 1 0 0
30.55, 2.926, 100, 0 1 1
38.38, 2.345, 29, 1 0 2
48.63, 1.872, 20, 1 1 0
49.07, 1.856, 22, 0 1 3
56.09, 1.640, 20, 1 1 2
58.53, 1.577, 16, 2 0 1
61.65, 1.504, 10, 1 0 4
79.46, 1.206, 14, 1 2 1